Diffraction record for ErReB4. The XRD peak list is calculated, not measured: it uses a structure optimized by DFT (PBE) and Cu Kα (λ = 1.5418 Å).

Principal peaks in the range 2θ from 5° to 70°, low angle first:
2θ (°), I/Imax, index
24.7, 97, 0 0 1
31.1, 84, 0 4 0
34.7, 25, 1 4 0
37.4, 15, 1 3 1
38.3, 33, 2 3 0
40.1, 100, 0 4 1
43.0, 32, 1 4 1
46.1, 44, 2 3 1
50.6, 21, 0 0 2
60.6, 26, 0 4 2
62.5, 16, 4 0 0
65.2, 14, 2 3 2

Atomic structure:
Lattice parameters (Å, degrees): 5.9474 11.5014 3.6053 90.00 90.00 90.00
Space group Pbam (No. 55)
Unique sites:
1 Er 0.1271 0.1499 0.0000 [4 per cell]
2 Re 0.1336 0.4122 0.0000 [4 per cell]
3 B 0.0204 0.6930 0.5000 [4 per cell]
4 B 0.1136 0.5478 0.5000 [4 per cell]
5 B 0.1357 0.9690 0.5000 [4 per cell]
6 B 0.2101 0.8152 0.5000 [4 per cell]

Diffraction record for Er2ReB6. The XRD peak list is calculated, not measured: it uses a structure optimized by DFT (PBE) and Cu Kα (λ = 1.5418 Å).

Principal peaks in the range 2θ from 5° to 70°, low angle first:
2θ (°), I/Imax, index
24.4, 100, 0 0 1
30.4, 64, 3 1 0
31.1, 21, 0 4 0
32.6, 30, 1 4 0
33.3, 23, 3 2 0
39.3, 77, 3 1 1
39.9, 25, 0 4 1
41.1, 37, 1 4 1
41.7, 29, 3 2 1
45.4, 20, 3 3 1
50.0, 22, 0 0 2
59.6, 20, 3 1 2

Atomic structure:
Lattice parameters (Å, degrees): 9.1361 11.5146 3.6513 90.00 90.00 90.00
Space group Pbam (No. 55)
Unique sites:
1 Er 0.0562 0.1299 0.0000 [4 per cell]
2 Er 0.1760 0.4138 0.0000 [4 per cell]
3 Re 0.1388 0.6789 0.0000 [4 per cell]
4 B 0.0174 0.2878 0.5000 [4 per cell]
5 B 0.0534 0.5668 0.5000 [4 per cell]
6 B 0.1004 0.9718 0.5000 [4 per cell]
7 B 0.1317 0.8144 0.5000 [4 per cell]
8 B 0.2069 0.2342 0.5000 [4 per cell]
9 B 0.2498 0.0803 0.5000 [4 per cell]

Diffraction record for ErB4Rh4. The XRD peak list is calculated, not measured: it uses a structure optimized by DFT (PBE) and Cu Kα (λ = 1.5418 Å).

Principal peaks in the range 2θ from 5° to 70°, low angle first:
2θ (°), I/Imax, index
23.6, 24, 1 1 0
29.3, 40, 1 0 2
33.6, 13, 2 0 0
33.8, 24, 1 1 2
35.7, 73, 2 0 1
39.7, 100, 2 1 1
40.1, 72, 1 0 3
41.6, 13, 2 0 2
45.1, 32, 2 1 2
54.5, 17, 2 2 2
64.2, 23, 3 2 1
64.4, 19, 3 0 3

Atomic structure:
Lattice parameters (Å, degrees): 5.3363 5.3363 7.4453 90.00 90.00 90.00
Space group P4_2/nmc (No. 137, origin choice 2)
Unique sites:
1 Er 0.2500 0.7500 0.2500 [2 per cell]
2 B 0.0814 0.2500 0.1012 [8 per cell]
3 Rh 0.0014 0.7500 0.6044 [8 per cell]

Diffraction record for ErB4Rh4. The XRD peak list is calculated, not measured: it uses a structure optimized by DFT (PBE) and Cu Kα (λ = 1.5418 Å).

Principal peaks in the range 2θ from 5° to 70°, low angle first:
2θ (°), I/Imax, index
23.6, 9, 2 0 0
32.1, 62, 2 1 3
33.8, 21, 2 0 4
39.7, 100, 3 1 2
40.0, 42, 1 1 6
40.4, 36, 2 1 5
41.6, 11, 2 2 4
43.7, 14, 3 2 1
54.4, 10, 4 2 0
55.0, 9, 2 0 8
64.2, 11, 5 1 2
64.5, 14, 3 3 6

Atomic structure:
Lattice parameters (Å, degrees): 7.5425 7.5425 14.9037 90.00 90.00 90.00
Space group I4_1/acd (No. 142, origin choice 2)
Unique sites:
1 Er 0.0000 0.2500 0.1250 [8 per cell]
2 B 0.1381 0.0796 0.2929 [32 per cell]
3 Rh 0.1159 0.0965 0.4385 [32 per cell]

Diffraction record for Er2B6Rh9. The XRD peak list is calculated, not measured: it uses a structure optimized by DFT (PBE) and Cu Kα (λ = 1.5418 Å).

Principal peaks in the range 2θ from 5° to 70°, low angle first:
2θ (°), I/Imax, index
20.7, 7, 0 0 2
27.8, 22, 1 0 2
31.3, 15, 0 0 3
36.5, 38, 1 0 3
37.1, 100, 2 0 0
38.4, 9, 1 1 2
45.4, 26, 1 1 3
49.3, 29, 2 0 3
54.5, 7, 2 1 2
60.0, 18, 2 1 3
66.5, 8, 3 0 3
66.9, 22, 2 2 0

Atomic structure:
Lattice parameters (Å, degrees): 5.5963 5.5963 8.5692 90.00 90.00 120.00
Space group P6/mmm (No. 191)
Unique sites:
1 Er 0.0000 0.0000 0.2065 [2 per cell]
2 B 0.3333 0.6667 0.1671 [4 per cell]
3 B 0.3333 0.6667 0.5000 [2 per cell]
4 Rh 0.0000 0.5000 0.0000 [3 per cell]
5 Rh 0.0000 0.5000 0.3355 [6 per cell]

Diffraction record for ErB4Rh4. The XRD peak list is calculated, not measured: it uses a structure optimized by DFT (PBE) and Cu Kα (λ = 1.5418 Å).

Principal peaks in the range 2θ from 5° to 70°, low angle first:
2θ (°), I/Imax, index
31.0, 24, 2 4 1
33.3, 30, 1 5 2
33.8, 21, 0 6 2
38.8, 20, 1 7 2
39.7, 100, 3 3 1
40.0, 41, 1 9 1
41.7, 11, 2 6 2
42.0, 12, 2 8 1
54.5, 10, 2 0 4
54.9, 11, 2 12 0
64.3, 11, 1 3 5
64.5, 15, 3 9 3

Atomic structure:
Lattice parameters (Å, degrees): 7.5375 22.3979 7.5302 90.00 90.00 90.00
Space group Ccce (No. 68, origin choice 2)
Unique sites:
1 Er 0.0000 0.0832 0.2500 [8 per cell]
2 Er 0.0000 0.2500 0.7500 [4 per cell]
3 B 0.1350 0.1397 0.5767 [16 per cell]
4 B 0.1427 0.1954 0.4120 [16 per cell]
5 B 0.1704 0.0289 0.8913 [16 per cell]
6 Rh 0.1150 0.0411 0.5967 [16 per cell]
7 Rh 0.1514 0.2081 0.1230 [16 per cell]
8 Rh 0.1536 0.1250 0.8629 [16 per cell]

Diffraction record for ErB4Ru. The XRD peak list is calculated, not measured: it uses a structure optimized by DFT (PBE) and Cu Kα (λ = 1.5418 Å).

Principal peaks in the range 2θ from 5° to 70°, low angle first:
2θ (°), I/Imax, index
25.1, 76, 0 0 1
27.7, 17, 1 3 0
31.1, 84, 0 4 0
34.7, 18, 1 4 0
37.8, 20, 1 3 1
38.4, 19, 2 3 0
40.4, 100, 0 4 1
43.3, 24, 1 4 1
46.4, 27, 2 3 1
51.6, 17, 0 0 2
61.5, 24, 0 4 2
68.5, 11, 4 0 1

Atomic structure:
Lattice parameters (Å, degrees): 5.9424 11.4833 3.5430 90.00 90.00 90.00
Space group Pbam (No. 55)
Unique sites:
1 Er 0.1305 0.1496 0.0000 [4 per cell]
2 B 0.0220 0.6924 0.5000 [4 per cell]
3 B 0.1122 0.5471 0.5000 [4 per cell]
4 B 0.1354 0.9698 0.5000 [4 per cell]
5 B 0.2083 0.8141 0.5000 [4 per cell]
6 Ru 0.1415 0.4069 0.0000 [4 per cell]

Diffraction record for ErB2Ru3. The XRD peak list is calculated, not measured: it uses a structure optimized by DFT (PBE) and Cu Kα (λ = 1.5418 Å).

Principal peaks in the range 2θ from 5° to 70°, low angle first:
2θ (°), I/Imax, index
18.7, 7, 1 0 0
29.4, 5, 0 0 1
32.6, 4, 1 1 0
35.1, 77, 1 0 1
37.8, 100, 2 0 0
44.5, 46, 1 1 1
48.6, 10, 2 0 1
50.8, 1, 2 1 0
59.8, 33, 2 1 1
61.1, 9, 0 0 2
66.5, 14, 3 0 1
68.3, 19, 2 2 0

Atomic structure:
Lattice parameters (Å, degrees): 5.4933 5.4933 3.0346 90.00 90.00 120.00
Space group P6/mmm (No. 191)
Unique sites:
1 Er 0.0000 0.0000 0.0000 [1 per cell]
2 B 0.3333 0.6667 0.0000 [2 per cell]
3 Ru 0.0000 0.5000 0.5000 [3 per cell]

Q: What is the formula in the fourth record?
A: ErB4Rh4

Q: Number 7 is which compound?
A: ErB4Ru